Starting from a DFT-relaxed cell (PBE+U, Alexandria), the X-ray diffraction stick pattern of Na5Ca2Fe3P6O24 was simulated for λ = 1.5418 Å (Cu Kα).
Intensities are scaled so that the largest is 100.

Crystal structure
```
data_Na5Ca2Fe3P6O24
_cell_length_a 6.547
_cell_length_b 8.827
_cell_length_c 9.095
_cell_angle_alpha 91.07
_cell_angle_beta 107.56
_cell_angle_gamma 106.65
_space_group_name_H-M_alt 'P 1'
_space_group_IT_number 1
loop_
_space_group_symop_operation_xyz
'x,y,z'
loop_
_atom_site_label
_atom_site_fract_x
_atom_site_fract_y
_atom_site_fract_z
Na1 0.000 0.000 0.000
Na2 0.049 0.707 0.291
Na3 0.273 0.466 0.507
Na4 0.510 0.950 0.035
Na5 0.798 0.485 0.503
Ca1 0.526 0.251 0.751
Ca2 0.578 0.869 0.632
Fe1 0.111 0.581 0.946
Fe2 0.404 0.348 0.083
Fe3 0.907 0.028 0.407
P1 0.014 0.245 0.741
P2 0.137 0.838 0.684
P3 0.409 0.119 0.368
P4 0.519 0.686 0.273
P5 0.630 0.623 0.891
P6 0.900 0.310 0.162
O1 0.051 0.223 0.582
O2 0.082 0.369 0.076
O3 0.108 0.777 0.840
O4 0.156 0.706 0.580
O5 0.191 0.997 0.381
O6 0.226 0.228 0.868
O7 0.318 0.715 0.143
O8 0.355 0.981 0.731
O9 0.363 0.154 0.194
O10 0.428 0.543 0.954
O11 0.466 0.690 0.425
O12 0.478 0.270 0.481
O13 0.552 0.520 0.252
O14 0.579 0.532 0.732
O15 0.596 0.036 0.410
O16 0.653 0.801 0.886
O17 0.663 0.292 0.037
O18 0.737 0.816 0.272
O19 0.805 0.124 0.761
O20 0.853 0.607 0.006
O21 0.889 0.137 0.204
O22 0.932 0.895 0.598
O23 0.951 0.425 0.303
O24 0.983 0.414 0.759
```

Top 8 peaks for 5° ≤ 2θ ≤ 70°, by angle:
6.393 Å, intensity 52, (0 1 -1); 5.695 Å, intensity 79, (0 1 1); 3.117 Å, intensity 34, (2 -1 0); 2.972 Å, intensity 66, (-2 1 2); 2.848 Å, intensity 87, (0 2 2); 2.818 Å, intensity 100, (0 1 -3); 2.758 Å, intensity 75, (0 3 -1); 2.565 Å, intensity 34, (2 0 1)